Entry 1:
Diffraction record for RbMg14C. The X-ray diffraction stick pattern is simulated, not measured: it uses a cell relaxed with PBE and Cu Kα (weighted mean of Kα1 and Kα2).
Lines closer than 0.1° are merged.

Structure:
a b c (Å): 6.4682 6.4682 10.3992
angles (deg): 90.00 90.00 120.00
Fractional positions:
Rb (0.0000, 0.0000, 0.0000)
Mg (0.0118, 0.5059, 0.0000)
Mg (0.1602, 0.3204, 0.2863)
Mg (0.1602, 0.3204, 0.7137)
Mg (0.1602, 0.8398, 0.2863)
Mg (0.1602, 0.8398, 0.7137)
Mg (0.4941, 0.5059, 0.0000)
Mg (0.4941, 0.9882, 0.0000)
Mg (0.5087, 0.0174, 0.5000)
Mg (0.5087, 0.4913, 0.5000)
Mg (0.6667, 0.3333, 0.2406)
Mg (0.6667, 0.3333, 0.7594)
Mg (0.6796, 0.8398, 0.2863)
Mg (0.6796, 0.8398, 0.7137)
Mg (0.9826, 0.4913, 0.5000)
C (0.0000, 0.0000, 0.5000)

Principal peaks in the range 2θ = 5–70°, by angle:
2θ/deg, intensity
17.99, 17
30.32, 14
31.95, 26
34.50, 21
36.44, 100
47.73, 15
56.95, 18
63.08, 11
68.31, 15
69.52, 13



Entry 2:
Diffraction record for Li8BiO6. The X-ray diffraction stick pattern is simulated, not measured: it uses a cell relaxed with PBE and Cu Kα (weighted mean of Kα1 and Kα2).
Lines closer than 0.1° are merged.

Structure:
a b c (Å): 5.8389 5.8389 11.0172
angles (deg): 90.00 90.00 120.00
Fractional positions:
Li (0.0000, 0.3239, 0.0000)
Li (0.0000, 0.4118, 0.3601)
Li (0.0000, 0.5882, 0.8601)
Li (0.0000, 0.6761, 0.5000)
Li (0.3239, 0.0000, 0.0000)
Li (0.3239, 0.3239, 0.5000)
Li (0.3333, 0.6667, 0.1357)
Li (0.3333, 0.6667, 0.6357)
Li (0.4118, 0.0000, 0.3601)
Li (0.4118, 0.4118, 0.8601)
Li (0.5882, 0.0000, 0.8601)
Li (0.5882, 0.5882, 0.3601)
Li (0.6667, 0.3333, 0.1357)
Li (0.6667, 0.3333, 0.6357)
Li (0.6761, 0.0000, 0.5000)
Li (0.6761, 0.6761, 0.0000)
Bi (0.0000, 0.0000, 0.2218)
Bi (0.0000, 0.0000, 0.7218)
O (0.0000, 0.0000, 0.4185)
O (0.0000, 0.0000, 0.9185)
O (0.0000, 0.3575, 0.1817)
O (0.0000, 0.6425, 0.6817)
O (0.3333, 0.6667, 0.4460)
O (0.3333, 0.6667, 0.9460)
O (0.3575, 0.0000, 0.1817)
O (0.3575, 0.3575, 0.6817)
O (0.6425, 0.0000, 0.6817)
O (0.6425, 0.6425, 0.1817)
O (0.6667, 0.3333, 0.4460)
O (0.6667, 0.3333, 0.9460)

Principal peaks in the range 2θ = 5–70°, by angle:
2θ/deg, intensity
16.09, 37
17.54, 91
23.89, 100
30.62, 35
34.78, 23
35.51, 22
37.17, 32
39.21, 32
45.26, 22
50.55, 29



Entry 3:
Diffraction record for Ho4MgTi2O10. The X-ray diffraction stick pattern is simulated, not measured: it uses a cell relaxed with PBE and Cu Kα (weighted mean of Kα1 and Kα2).
Lines closer than 0.1° are merged.

Structure:
a b c (Å): 5.9350 5.9350 11.6349
angles (deg): 101.32 101.32 38.35
Fractional positions:
Ho (0.1496, 0.1496, 0.0592)
Ho (0.1786, 0.1786, 0.3813)
Ho (0.8214, 0.8214, 0.6187)
Ho (0.8504, 0.8504, 0.9408)
Mg (0.5000, 0.5000, 0.5000)
Ti (0.1336, 0.1336, 0.7670)
Ti (0.8664, 0.8664, 0.2330)
O (0.0228, 0.0228, 0.8758)
O (0.0261, 0.0261, 0.6218)
O (0.2701, 0.2701, 0.9214)
O (0.2976, 0.2976, 0.2471)
O (0.3356, 0.3356, 0.5343)
O (0.6644, 0.6644, 0.4657)
O (0.7024, 0.7024, 0.7529)
O (0.7299, 0.7299, 0.0786)
O (0.9739, 0.9739, 0.3782)
O (0.9772, 0.9772, 0.1242)

Principal peaks in the range 2θ = 5–70°, by angle:
2θ/deg, intensity
16.16, 55
24.23, 80
24.95, 53
25.63, 37
31.34, 75
32.72, 100
33.61, 73
36.22, 38
46.59, 35
57.81, 34



Entry 4:
Diffraction record for Li2ReO3. The X-ray diffraction stick pattern is simulated, not measured: it uses a cell relaxed with PBE and Cu Kα (weighted mean of Kα1 and Kα2).
Lines closer than 0.1° are merged.

Structure:
a b c (Å): 5.7790 5.7790 5.7790
angles (deg): 51.18 51.18 51.18
Fractional positions:
Li (0.1744, 0.1744, 0.1744)
Li (0.3256, 0.3256, 0.3256)
Li (0.6744, 0.6744, 0.6744)
Li (0.8256, 0.8256, 0.8256)
Re (0.0000, 0.0000, 0.0000)
Re (0.5000, 0.5000, 0.5000)
O (0.1071, 0.7500, 0.3929)
O (0.2500, 0.6071, 0.8929)
O (0.3929, 0.1071, 0.7500)
O (0.6071, 0.8929, 0.2500)
O (0.7500, 0.3929, 0.1071)
O (0.8929, 0.2500, 0.6071)

Principal peaks in the range 2θ = 5–70°, by angle:
2θ/deg, intensity
23.74, 100
31.55, 46
35.98, 30
43.57, 18
48.59, 16
51.70, 35
53.16, 10
57.74, 17
61.92, 14
65.83, 12



Entry 5:
Diffraction record for Tb3GaC. The X-ray diffraction stick pattern is simulated, not measured: it uses a cell relaxed with PBE and Cu Kα (weighted mean of Kα1 and Kα2).
Lines closer than 0.1° are merged.

Structure:
a b c (Å): 4.8859 4.8859 4.8859
angles (deg): 90.00 90.00 90.00
Fractional positions:
Tb (0.0000, 0.0000, 0.5000)
Tb (0.0000, 0.5000, 0.0000)
Tb (0.5000, 0.0000, 0.0000)
Ga (0.5000, 0.5000, 0.5000)
C (0.0000, 0.0000, 0.0000)

Principal peaks in the range 2θ = 5–70°, by angle:
2θ/deg, intensity
18.16, 10
25.79, 5
31.72, 100
36.79, 55
41.32, 5
45.47, 2
53.01, 38
56.50, 2
63.11, 42
66.27, 13